Computed XRD peak list of CuPt6Rh8 for Cu Kα (weighted mean of Kα1 and Kα2), from a cell relaxed with PBE.

a = 7.3276 Å, b = 7.3276 Å, c = 5.2259 Å
α = 90.00°, β = 90.00°, γ = 120.00°
Space group P3 (No. 143)
Unique sites:
Cu  0.0000  0.0000  0.0000 x1
Pt  0.0525  0.6848  0.0955 x3
Pt  0.3674  0.0524  0.9016 x3
Rh  0.0466  0.3629  0.4111 x3
Rh  0.3333  0.6667  0.7305 x1
Rh  0.3631  0.3165  0.5860 x3
Rh  0.6667  0.3333  0.2665 x1

Most intense lines, 2θ from 5° to 70°, low angle first:
2theta, intensity
16.97, 16
24.29, 32
29.78, 11
33.03, 23
41.42, 47
42.49, 100
42.75, 71
55.06, 11
61.86, 19
66.69, 18